No. 1
Calculated powder XRD pattern
Compound: Ta4SnS8
Radiation: a wavelength of 1.5418 Å
Structure: a DFT-relaxed cell (GGA-PBE, Alexandria)
Neutral-atom scattering factors, no anomalous dispersion.

Principal peaks in the range 15 to 90 degrees two-theta, in order of falling intensity:
| Position (°2θ) | I (rel.) |
| --- | --- |
| 28.93 | 100 |
| 46.08 | 91 |
| 50.44 | 59 |
| 35.07 | 59 |
| 38.33 | 42 |
| 17.33 | 42 |
| 43.31 | 40 |
| 30.25 | 34 |
| 79.45 | 27 |
| 70.69 | 26 |

Atomic structure:
Lattice parameters (Å, degrees): 7.2377 7.2377 7.2377 60.00 60.00 60.00
Fractional coordinates of all 13 atoms:
Ta (0.1042, 0.1042, 0.1042)
Ta (0.1042, 0.1042, 0.6874)
Ta (0.1042, 0.6874, 0.1042)
Ta (0.6874, 0.1042, 0.1042)
Sn (0.5000, 0.5000, 0.5000)
S (0.3570, 0.3570, 0.3570)
S (0.3570, 0.3570, 0.9289)
S (0.3570, 0.9289, 0.3570)
S (0.3905, 0.8698, 0.8698)
S (0.8698, 0.3905, 0.8698)
S (0.8698, 0.8698, 0.3905)
S (0.8698, 0.8698, 0.8698)
S (0.9289, 0.3570, 0.3570)

***

No. 2
Calculated powder XRD pattern
Compound: Tb3SnS2
Radiation: a wavelength of 1.5418 Å
Structure: a DFT-relaxed cell (GGA-PBE, Alexandria)
Neutral-atom scattering factors, no anomalous dispersion.

Principal peaks in the range 15 to 90 degrees two-theta, in order of falling intensity:
| Position (°2θ) | I (rel.) |
| --- | --- |
| 36.31 | 100 |
| 26.06 | 39 |
| 33.01 | 37 |
| 61.14 | 22 |
| 15.94 | 19 |
| 36.74 | 18 |
| 28.10 | 18 |
| 31.57 | 16 |
| 24.84 | 14 |
| 59.94 | 13 |

Atomic structure:
Lattice parameters (Å, degrees): 7.8540 7.8540 7.8540 125.68 92.61 111.78
Fractional coordinates of all 12 atoms:
Tb (0.0000, 0.2296, 0.2296)
Tb (0.0000, 0.7704, 0.7704)
Tb (0.5000, 0.0000, 0.0000)
Tb (0.5000, 0.2296, 0.7296)
Tb (0.5000, 0.5000, 0.5000)
Tb (0.5000, 0.7704, 0.2704)
Sn (0.1909, 0.9409, 0.2500)
Sn (0.8091, 0.0591, 0.7500)
S (0.2626, 0.7053, 0.5573)
S (0.3520, 0.2947, 0.0573)
S (0.6480, 0.7053, 0.9427)
S (0.7374, 0.2947, 0.4427)

***

No. 3
Calculated powder XRD pattern
Compound: Tb6SnS4
Radiation: a wavelength of 1.5418 Å
Structure: a DFT-relaxed cell (GGA-PBE, Alexandria)
Neutral-atom scattering factors, no anomalous dispersion.

Principal peaks in the range 15 to 90 degrees two-theta, in order of falling intensity:
| Position (°2θ) | I (rel.) |
| --- | --- |
| 31.69 | 100 |
| 29.93 | 100 |
| 29.41 | 62 |
| 30.72 | 46 |
| 55.47 | 36 |
| 45.56 | 34 |
| 33.26 | 29 |
| 26.91 | 26 |
| 47.29 | 22 |
| 55.31 | 22 |

Atomic structure:
Lattice parameters (Å, degrees): 6.8414 6.8414 20.1257 90.00 90.00 146.16
Fractional coordinates of all 22 atoms:
Tb (0.0000, 0.0000, 0.0000)
Tb (0.0000, 0.0000, 0.5000)
Tb (0.1548, 0.8452, 0.7500)
Tb (0.2712, 0.7288, 0.0843)
Tb (0.2712, 0.7288, 0.4157)
Tb (0.4597, 0.5403, 0.6584)
Tb (0.4597, 0.5403, 0.8416)
Tb (0.5403, 0.4597, 0.1584)
Tb (0.5403, 0.4597, 0.3416)
Tb (0.7288, 0.2712, 0.5843)
Tb (0.7288, 0.2712, 0.9157)
Tb (0.8452, 0.1548, 0.2500)
Sn (0.1643, 0.8357, 0.2500)
Sn (0.8357, 0.1643, 0.7500)
S (0.0940, 0.9060, 0.6219)
S (0.0940, 0.9060, 0.8781)
S (0.3621, 0.6379, 0.5390)
S (0.3621, 0.6379, 0.9610)
S (0.6379, 0.3621, 0.0390)
S (0.6379, 0.3621, 0.4610)
S (0.9060, 0.0940, 0.1219)
S (0.9060, 0.0940, 0.3781)

***

No. 4
Calculated powder XRD pattern
Compound: Tb7SnS5
Radiation: a wavelength of 1.5418 Å
Structure: a DFT-relaxed cell (GGA-PBE, Alexandria)
Neutral-atom scattering factors, no anomalous dispersion.

Principal peaks in the range 15 to 90 degrees two-theta, in order of falling intensity:
| Position (°2θ) | I (rel.) |
| --- | --- |
| 31.46 | 100 |
| 29.90 | 95 |
| 32.62 | 55 |
| 27.94 | 50 |
| 55.54 | 34 |
| 30.22 | 33 |
| 45.66 | 32 |
| 45.91 | 26 |
| 75.44 | 23 |
| 33.42 | 20 |

Atomic structure:
Lattice parameters (Å, degrees): 6.8055 6.8055 23.5510 90.00 90.00 146.05
Fractional coordinates of all 26 atoms:
Tb (0.0176, 0.9824, 0.7500)
Tb (0.1364, 0.8636, 0.0361)
Tb (0.1364, 0.8636, 0.4639)
Tb (0.3234, 0.6766, 0.6724)
Tb (0.3234, 0.6766, 0.8276)
Tb (0.4065, 0.5935, 0.1114)
Tb (0.4065, 0.5935, 0.3886)
Tb (0.5935, 0.4065, 0.6114)
Tb (0.5935, 0.4065, 0.8886)
Tb (0.6766, 0.3234, 0.1724)
Tb (0.6766, 0.3234, 0.3276)
Tb (0.8636, 0.1364, 0.5361)
Tb (0.8636, 0.1364, 0.9639)
Tb (0.9824, 0.0176, 0.2500)
Sn (0.3023, 0.6977, 0.2500)
Sn (0.6977, 0.3023, 0.7500)
S (0.0440, 0.9560, 0.1397)
S (0.0440, 0.9560, 0.3603)
S (0.2264, 0.7736, 0.5699)
S (0.2264, 0.7736, 0.9301)
S (0.5000, 0.5000, 0.0000)
S (0.5000, 0.5000, 0.5000)
S (0.7736, 0.2264, 0.0699)
S (0.7736, 0.2264, 0.4301)
S (0.9560, 0.0440, 0.6397)
S (0.9560, 0.0440, 0.8603)